The following is a simulated XRD peak list of CeY5Er4. It was derived from DFT lattice parameters and positions (PBE), using CuKα.
No peak broadening, texture or thermal motion is included.

Most intense lines, 2θ = 15–90°, by angle:
(2 1 1), 24.29 deg, I 17.0; (3 1 0), 26.84 deg, I 9.4; (3 0 1), 29.73 deg, I 100.0; (0 0 2), 30.54 deg, I 15.1; (1 1 2), 32.89 deg, I 16.7; (3 3 0), 36.28 deg, I 41.2; (3 3 2), 48.14 deg, I 14.9; (4 2 2), 49.77 deg, I 12.6; (6 0 0), 52.25 deg, I 13.2; (3 0 3), 53.78 deg, I 17.1; (6 3 1), 61.28 deg, I 20.7; (6 3 3), 78.28 deg, I 9.3

```
data_CeY5Er4
_chemical_formula_sum 'Ce2 Y10 Er8'
_symmetry_space_group_name_H-M 'I 4 m m'
_symmetry_Int_Tables_number 107
_symmetry_space_group_name_Hall 'I 4 -2'
_cell_length_a 10.5046
_cell_length_b 10.5046
_cell_length_c 5.8536
_cell_angle_alpha 90.00
_cell_angle_beta 90.00
_cell_angle_gamma 90.00
loop_
_atom_site_label
_atom_site_fract_x
_atom_site_fract_y
_atom_site_fract_z
Ce1 0.0000 0.0000 0.0000
Y1 0.0000 0.0000 0.5345
Y2 0.1867 0.1867 0.2350
Er1 0.0000 0.3276 0.7378
```